Structure and theoretical XRD peak list of NaNiOs2O8 (the PBE+U geometry in Alexandria; Cu Kα (weighted mean of Kα1 and Kα2)).

The 10 most intense peaks (5 to 70 degrees two-theta), by angle:
2θ/deg  I (rel.)  h k l
17.68  83  1 0 1
25.41  89  2 0 0
30.74  100  1 1 2
31.13  49  2 1 1
36.25  20  2 2 0
48.24  62  3 1 2
52.20  16  4 0 0
57.67  17  2 0 4
61.81  16  3 3 2
64.02  17  2 2 4

Structure:
abc: 7.0096 7.0096 7.1850
angles: 90.00 90.00 90.00
Space group I-4m2 (No. 119)
One atom of each set of equivalent atoms:
Na (0.0000, 0.0000, 0.0000) x2
Ni (0.0000, 0.5000, 0.7500) x2
Os (0.0000, 0.0000, 0.5000) x2
Os (0.0000, 0.5000, 0.2500) x2
O (0.0000, 0.2063, 0.6464) x8
O (0.0000, 0.2997, 0.1044) x8